MgHF: simulated PXRD pattern (a wavelength of 1.5418 Å), based on the PBE geometry in Alexandria.
Neutral-atom scattering factors, no anomalous dispersion.

Structural model:
```
MgHF
1.0
5.1252 0.0000 0.0000
0.0000 3.0151 0.0000
0.0000 0.0000 10.2978
Mg H F
4 4 4
direct
0.2453 0.2500 0.0534
0.2547 0.7500 0.5534
0.7453 0.2500 0.4466
0.7547 0.7500 0.9466
0.0177 0.7500 0.0950
0.4823 0.2500 0.5950
0.5177 0.7500 0.4050
0.9823 0.2500 0.9050
0.0056 0.2500 0.6006
0.4944 0.7500 0.1006
0.5056 0.2500 0.8994
0.9944 0.7500 0.3994
```

Largest 12 diffraction maxima, sorted by position, 10 to 90 degrees two-theta:
2θ/deg  I/Imax
17.22  100
19.35  41
24.51  32
35.63  46
38.82  20
39.16  20
43.69  9
47.39  14
53.91  8
54.03  36
63.21  9
65.92  8